# TlSn7Au3
Simulated XRD peak list, CuKα. Input: a cell relaxed with PBE.
No peak broadening, texture or thermal motion is included.

Structural model:
Lattice parameters (Å, degrees): 9.1609 9.1609 23.6322 90.00 90.00 120.00
Space group R-3c (No. 167, hexagonal axes)
Symmetry-distinct sites (fractional):
Tl (0.0000, 0.0000, 0.0000)
Sn (0.0000, 0.0000, 0.2500)
Sn (0.0148, 0.2126, 0.1338)
Au (0.0000, 0.3109, 0.2500)

Top 10 peaks for 2θ from 5° to 70°, low angle first:
22.45 deg, I = 53, hkl 1 1 3
27.08 deg, I = 26, hkl 0 2 4
29.92 deg, I = 33, hkl 1 1 6
30.04 deg, I = 76, hkl 2 1 1
32.34 deg, I = 58, hkl 0 1 8
33.51 deg, I = 76, hkl 2 1 4
33.90 deg, I = 57, hkl 3 0 0
39.56 deg, I = 90, hkl 1 1 9
41.07 deg, I = 100, hkl 2 2 3
58.43 deg, I = 41, hkl 3 0 12